Theoretical X-ray diffraction stick pattern of Cs3Cd6Au5 for Cu Kα X-rays, from the GGA-PBE geometry in Alexandria.

Most intense lines, 2θ = 10–90°, in order of rising 2θ:
2θ (°)  d_spacing  I (rel.)  hkl
14.8  5.969  32  0 0 2
24.3  3.657  23  1 1 2
28.9  3.085  56  1 0 3
29.1  3.068  28  0 3 3
30.1  2.974  100  1 3 2
36.8  2.442  66  2 0 0
36.9  2.435  38  1 5 1
42.9  2.109  31  1 5 3

Structure:
Cell: 4.8833 14.4538 11.9375 Å, 90.00 90.00 90.00°
Space group Pmmn (No. 59, origin choice 2)
One atom of each set of equivalent atoms:
Cs  0.2500  0.1051  0.2499 [4 per cell]
Cs  0.2500  0.7500  0.2455 [2 per cell]
Cd  0.2500  0.0499  0.9127 [4 per cell]
Cd  0.2500  0.2500  0.5329 [2 per cell]
Cd  0.2500  0.2500  0.9950 [2 per cell]
Cd  0.2500  0.5683  0.4881 [4 per cell]
Au  0.2500  0.0736  0.6624 [4 per cell]
Au  0.2500  0.6402  0.9865 [4 per cell]
Au  0.2500  0.7500  0.5781 [2 per cell]

=====

Theoretical X-ray diffraction stick pattern of K2Sc3Cl10 for Cu Kα X-rays, from the GGA-PBE geometry in Alexandria.

Most intense lines, 2θ = 10–90°, in order of rising 2θ:
2θ (°)  d_spacing  I (rel.)  hkl
19.0  4.681  33  0 0 2
22.3  3.992  32  6 0 -1
29.8  2.996  28  6 0 -3
31.0  2.888  77  0 2 2
32.2  2.782  29  8 0 0
32.5  2.751  37  2 0 3
33.2  2.701  100  6 2 -1
50.5  1.808  43  8 2 2

Structure:
Cell: 23.9576 7.3396 10.0784 Å, 90.00 111.73 90.00°
Space group C2/m (No. 12)
One atom of each set of equivalent atoms:
K  0.1230  0.0000  0.2194 [4 per cell]
K  0.2272  0.0000  0.8453 [4 per cell]
Sc  0.0000  0.2556  0.5000 [4 per cell]
Sc  0.0787  0.5000  0.9809 [4 per cell]
Sc  0.1818  0.5000  0.5290 [4 per cell]
Cl  0.0000  0.2713  0.0000 [4 per cell]
Cl  0.0151  0.0000  0.6798 [4 per cell]
Cl  0.0203  0.5000  0.6989 [4 per cell]
Cl  0.1114  0.2487  0.5397 [8 per cell]
Cl  0.1294  0.5000  0.2526 [4 per cell]
Cl  0.1438  0.2557  0.9699 [8 per cell]
Cl  0.2361  0.5000  0.7833 [4 per cell]
Cl  0.2500  0.2500  0.5000 [4 per cell]

=====

Theoretical X-ray diffraction stick pattern of K2UTiS5 for Cu Kα X-rays, from the GGA-PBE geometry in Alexandria.

Most intense lines, 2θ = 10–90°, in order of rising 2θ:
2θ (°)  d_spacing  I (rel.)  hkl
11.8  7.513  56  0 2 1
12.8  6.898  76  0 0 2
16.2  5.465  65  0 2 2
23.1  3.853  41  1 1 1
29.5  3.024  100  1 1 3
30.6  2.918  51  0 6 1
35.7  2.517  39  1 5 2
42.5  2.128  32  1 5 4

Structure:
Cell: 4.1177 17.9145 13.7957 Å, 90.00 90.00 90.00°
Space group Cmc2_1 (No. 36)
One atom of each set of equivalent atoms:
K  0.0000  0.1120  0.0000 [4 per cell]
K  0.0000  0.1314  0.6563 [4 per cell]
U  0.0000  0.2047  0.3567 [4 per cell]
Ti  0.0000  0.4411  0.7572 [4 per cell]
S  0.0000  0.0475  0.3419 [4 per cell]
S  0.0000  0.2988  0.9791 [4 per cell]
S  0.0000  0.3131  0.7246 [4 per cell]
S  0.0000  0.3419  0.3324 [4 per cell]
S  0.0000  0.4949  0.6161 [4 per cell]

=====

Theoretical X-ray diffraction stick pattern of TmCo12 for Cu Kα X-rays, from the GGA-PBE geometry in Alexandria.

Most intense lines, 2θ = 10–90°, in order of rising 2θ:
2θ (°)  d_spacing  I (rel.)  hkl
31.0  2.886  37  2 1 1
38.1  2.363  48  3 0 1
44.0  2.057  58  4 0 0
44.2  2.049  100  3 2 1
44.7  2.026  71  2 0 2
50.2  1.817  24  2 2 2
73.9  1.283  20  3 2 3
81.1  1.186  19  6 3 1

Structure:
Cell: 8.2263 8.2263 4.6554 Å, 90.00 90.00 90.00°
Space group I4/mmm (No. 139)
One atom of each set of equivalent atoms:
Tm  0.0000  0.0000  0.0000 [2 per cell]
Co  0.0000  0.2235  0.5000 [8 per cell]
Co  0.0000  0.3580  0.0000 [8 per cell]
Co  0.2500  0.2500  0.2500 [8 per cell]

=====

Theoretical X-ray diffraction stick pattern of MnReAsPt2 for Cu Kα X-rays, from the GGA-PBE geometry in Alexandria.

Most intense lines, 2θ = 10–90°, in order of rising 2θ:
2θ (°)  d_spacing  I (rel.)  hkl
19.2  4.629  16  1 0 0
34.3  2.615  100  1 1 1
38.9  2.314  50  2 0 0
41.6  2.173  21  0 0 2
56.2  1.637  17  2 2 0
58.2  1.584  31  2 0 2
67.5  1.387  29  3 1 1
72.3  1.307  16  2 2 2

Structure:
Cell: 4.6288 4.6288 4.3467 Å, 90.00 90.00 90.00°
Space group P4/mmm (No. 123)
One atom of each set of equivalent atoms:
Mn  0.0000  0.0000  0.0000 [1 per cell]
Re  0.0000  0.0000  0.5000 [1 per cell]
As  0.5000  0.5000  0.5000 [1 per cell]
Pt  0.0000  0.5000  0.0000 [2 per cell]

=====

Theoretical X-ray diffraction stick pattern of La3SiI for Cu Kα X-rays, from the GGA-PBE geometry in Alexandria.

Most intense lines, 2θ = 10–90°, in order of rising 2θ:
2θ (°)  d_spacing  I (rel.)  hkl
24.5  3.639  82  0 0 2
27.3  3.270  83  4 0 -1
28.6  3.126  89  2 2 0
29.2  3.062  30  2 2 -1
33.0  2.714  80  2 2 1
34.6  2.593  100  2 2 -2
34.9  2.568  50  4 0 1
48.6  1.873  38  6 2 -1

Structure:
Cell: 13.1515 7.2360 7.7056 Å, 90.00 109.18 90.00°
Space group C2/m (No. 12)
One atom of each set of equivalent atoms:
La  0.0458  0.0000  0.2468 [4 per cell]
La  0.1901  0.2526  0.6994 [8 per cell]
Si  0.1819  0.0000  0.0010 [4 per cell]
I  0.0620  0.5000  0.2992 [4 per cell]